1.
Starting from a cell relaxed with GGA-PBE, the powder XRD pattern of KHoPbCl6 was computed for Cu Kα, 1.54184 Å.

Principal peaks in the range 10° ≤ 2θ ≤ 80°, by angle:
two_theta, I (rel.)
13.24, 92
14.00, 52
19.32, 99
24.38, 52
27.84, 100
31.29, 27
36.44, 100
40.05, 31
42.89, 42
47.81, 29

Atomic structure:
Cell: 7.3039 7.3039 13.3731 Å, 90.00 90.00 120.00°
Sites, in units of the cell vectors:
K: 0.0000 0.0000 0.0000
K: 0.0000 0.0000 0.5000
Ho: 0.3333 0.6667 0.2500
Ho: 0.6667 0.3333 0.7500
Pb: 0.3333 0.6667 0.7500
Pb: 0.6667 0.3333 0.2500
Cl: 0.0282 0.3783 0.1367
Cl: 0.0282 0.6499 0.3633
Cl: 0.3501 0.3783 0.3633
Cl: 0.3501 0.9718 0.1367
Cl: 0.3783 0.0282 0.6367
Cl: 0.3783 0.3501 0.8633
Cl: 0.6217 0.6499 0.1367
Cl: 0.6217 0.9718 0.3633
Cl: 0.6499 0.0282 0.8633
Cl: 0.6499 0.6217 0.6367
Cl: 0.9718 0.3501 0.6367
Cl: 0.9718 0.6217 0.8633

2.
Starting from a cell relaxed with GGA-PBE, the powder XRD pattern of K2HoTlCl6 was computed for Cu Kα, 1.54184 Å.

Principal peaks in the range 10° ≤ 2θ ≤ 80°, by angle:
two_theta, I (rel.)
15.92, 100
22.14, 60
23.04, 48
26.65, 19
32.16, 37
35.49, 52
36.67, 20
39.93, 33
40.47, 29
54.90, 14

Atomic structure:
Cell: 8.0441 8.0441 8.0441 Å, 57.36 57.36 57.36°
Sites, in units of the cell vectors:
K: 0.0000 0.0000 0.0000
K: 0.4887 0.4887 0.4887
Ho: 0.6972 0.6972 0.6972
Tl: 0.2087 0.2087 0.2087
Cl: 0.0337 0.4602 0.8072
Cl: 0.3537 0.8933 0.5972
Cl: 0.4602 0.8072 0.0337
Cl: 0.5972 0.3537 0.8933
Cl: 0.8072 0.0337 0.4602
Cl: 0.8933 0.5972 0.3537

3.
Starting from a cell relaxed with GGA-PBE, the powder XRD pattern of LiHoCl4 was computed for Cu Kα, 1.54184 Å.

Principal peaks in the range 10° ≤ 2θ ≤ 80°, by angle:
two_theta, I (rel.)
10.45, 66
14.91, 30
15.12, 100
20.87, 60
21.05, 49
24.15, 22
29.63, 31
30.37, 71
36.50, 25
47.91, 26

Atomic structure:
Cell: 9.4063 9.4063 6.3526 Å, 105.96 105.96 128.40°
Sites, in units of the cell vectors:
Li: 0.1346 0.8654 0.7500
Li: 0.8654 0.1346 0.2500
Ho: 0.3287 0.6713 0.2500
Ho: 0.6713 0.3287 0.7500
Cl: 0.0051 0.4128 0.7239
Cl: 0.1980 0.3517 0.2780
Cl: 0.3517 0.1980 0.7780
Cl: 0.4128 0.0051 0.2239
Cl: 0.5872 0.9949 0.7761
Cl: 0.6483 0.8020 0.2220
Cl: 0.8020 0.6483 0.7220
Cl: 0.9949 0.5872 0.2761

4.
Starting from a cell relaxed with GGA-PBE, the powder XRD pattern of Na3HoCl6 was computed for Cu Kα, 1.54184 Å.

Principal peaks in the range 10° ≤ 2θ ≤ 80°, by angle:
two_theta, I (rel.)
14.87, 100
15.57, 41
17.28, 35
17.64, 74
24.63, 40
28.86, 47
29.33, 37
29.73, 40
39.69, 36
43.04, 36

Atomic structure:
Cell: 6.9206 7.3169 12.2772 Å, 90.00 123.30 90.00°
Sites, in units of the cell vectors:
Na: 0.0000 0.0000 0.0000
Na: 0.0000 0.5000 0.5000
Na: 0.2080 0.0754 0.7337
Na: 0.2080 0.4246 0.2337
Na: 0.7920 0.5754 0.7663
Na: 0.7920 0.9246 0.2663
Ho: 0.5000 0.0000 0.5000
Ho: 0.5000 0.5000 0.0000
Cl: 0.1266 0.1813 0.4385
Cl: 0.1266 0.3187 0.9385
Cl: 0.2441 0.7003 0.4151
Cl: 0.2441 0.7997 0.9151
Cl: 0.4052 0.0697 0.2638
Cl: 0.4052 0.4303 0.7638
Cl: 0.5948 0.5697 0.2362
Cl: 0.5948 0.9303 0.7362
Cl: 0.7559 0.2003 0.0849
Cl: 0.7559 0.2997 0.5849
Cl: 0.8734 0.6813 0.0615
Cl: 0.8734 0.8187 0.5615

5.
Starting from a cell relaxed with GGA-PBE, the powder XRD pattern of NaHoCl3 was computed for Cu Kα, 1.54184 Å.

Principal peaks in the range 10° ≤ 2θ ≤ 80°, by angle:
two_theta, I (rel.)
13.35, 67
13.73, 62
14.57, 100
22.93, 20
24.49, 16
25.12, 16
32.04, 17
34.69, 29
35.27, 18
44.42, 18

Atomic structure:
Cell: 6.4199 7.5005 7.5745 Å, 107.65 105.12 108.48°
Sites, in units of the cell vectors:
Na: 0.2341 0.3952 0.0862
Na: 0.7659 0.6048 0.9138
Ho: 0.0000 0.0000 0.5000
Ho: 0.5000 0.0000 0.5000
Cl: 0.0630 0.6598 0.2957
Cl: 0.2588 0.1774 0.3181
Cl: 0.4274 0.2073 0.8300
Cl: 0.5726 0.7927 0.1700
Cl: 0.7412 0.8226 0.6819
Cl: 0.9370 0.3402 0.7044

6.
Starting from a cell relaxed with GGA-PBE, the powder XRD pattern of NaSrHoCl6 was computed for Cu Kα, 1.54184 Å.

Principal peaks in the range 10° ≤ 2θ ≤ 80°, by angle:
two_theta, I (rel.)
14.22, 41
14.45, 58
15.96, 31
20.33, 65
24.77, 24
28.79, 100
38.60, 77
41.08, 21
43.61, 41
51.44, 20

Atomic structure:
Cell: 7.1901 7.1901 12.2595 Å, 90.00 90.00 120.00°
Sites, in units of the cell vectors:
Na: 0.0000 0.0000 0.0000
Na: 0.0000 0.0000 0.5000
Sr: 0.3333 0.6667 0.2500
Sr: 0.6667 0.3333 0.7500
Ho: 0.3333 0.6667 0.7500
Ho: 0.6667 0.3333 0.2500
Cl: 0.0286 0.3623 0.6290
Cl: 0.0286 0.6663 0.8710
Cl: 0.3337 0.3623 0.8710
Cl: 0.3337 0.9714 0.6290
Cl: 0.3623 0.0286 0.1290
Cl: 0.3623 0.3337 0.3710
Cl: 0.6377 0.6663 0.6290
Cl: 0.6377 0.9714 0.8710
Cl: 0.6663 0.0286 0.3710
Cl: 0.6663 0.6377 0.1290
Cl: 0.9714 0.3337 0.1290
Cl: 0.9714 0.6377 0.3710

7.
Starting from a cell relaxed with GGA-PBE, the powder XRD pattern of Ho3Cl7O was computed for Cu Kα, 1.54184 Å.

Principal peaks in the range 10° ≤ 2θ ≤ 80°, by angle:
two_theta, I (rel.)
13.34, 27
13.50, 100
19.02, 30
26.89, 32
30.19, 78
30.40, 12
38.60, 56
47.46, 21
49.57, 21
49.96, 23

Atomic structure:
Cell: 7.6623 7.6623 6.5591 Å, 90.00 90.00 120.00°
Sites, in units of the cell vectors:
Ho: 0.0243 0.5122 0.0000
Ho: 0.4878 0.5122 0.0000
Ho: 0.4878 0.9757 0.0000
Cl: 0.1670 0.3340 0.7613
Cl: 0.1670 0.8330 0.7613
Cl: 0.3448 0.1724 0.2142
Cl: 0.6660 0.8330 0.7613
Cl: 0.6667 0.3333 0.7707
Cl: 0.8276 0.1724 0.2142
Cl: 0.8276 0.6552 0.2142
O: 0.3333 0.6667 0.1036

8.
Starting from a cell relaxed with GGA-PBE, the powder XRD pattern of HoSClO4 was computed for Cu Kα, 1.54184 Å.

Principal peaks in the range 10° ≤ 2θ ≤ 80°, by angle:
two_theta, I (rel.)
14.27, 79
18.87, 71
19.84, 54
25.77, 100
26.39, 46
30.91, 44
31.49, 62
35.04, 34
37.85, 33
49.16, 26

Atomic structure:
Cell: 5.9520 5.9520 6.3962 Å, 101.31 101.31 71.03°
Sites, in units of the cell vectors:
Ho: 0.2260 0.2260 0.1338
Ho: 0.7740 0.7740 0.8662
S: 0.3635 0.3635 0.7338
S: 0.6365 0.6365 0.2662
Cl: 0.0208 0.0208 0.7617
Cl: 0.9792 0.9792 0.2383
O: 0.1454 0.4848 0.8494
O: 0.2886 0.2886 0.5062
O: 0.4827 0.4827 0.2368
O: 0.4848 0.1454 0.8494
O: 0.5152 0.8546 0.1506
O: 0.5173 0.5173 0.7632
O: 0.7114 0.7114 0.4938
O: 0.8546 0.5152 0.1506

9.
Starting from a cell relaxed with GGA-PBE, the powder XRD pattern of HoSeClO4 was computed for Cu Kα, 1.54184 Å.

Principal peaks in the range 10° ≤ 2θ ≤ 80°, by angle:
two_theta, I (rel.)
13.75, 61
18.41, 57
25.02, 100
25.73, 54
29.72, 53
30.49, 59
36.20, 25
36.41, 37
47.42, 41
47.62, 24

Atomic structure:
Cell: 6.1218 6.1218 6.6569 Å, 101.85 101.85 71.09°
Sites, in units of the cell vectors:
Ho: 0.2217 0.2217 0.1242
Ho: 0.7783 0.7783 0.8758
Se: 0.3628 0.3628 0.7289
Se: 0.6372 0.6372 0.2711
Cl: 0.0186 0.0186 0.7674
Cl: 0.9814 0.9814 0.2326
O: 0.1319 0.4888 0.8612
O: 0.2746 0.2746 0.4847
O: 0.4687 0.4687 0.2430
O: 0.4888 0.1319 0.8612
O: 0.5112 0.8681 0.1388
O: 0.5313 0.5313 0.7570
O: 0.7254 0.7254 0.5153
O: 0.8681 0.5112 0.1388

10.
Starting from a cell relaxed with GGA-PBE, the powder XRD pattern of HoTaClO4 was computed for Cu Kα, 1.54184 Å.

Principal peaks in the range 10° ≤ 2θ ≤ 80°, by angle:
two_theta, I (rel.)
13.03, 37
15.22, 85
15.50, 57
22.68, 28
26.22, 29
26.35, 88
26.85, 100
28.69, 89
32.48, 42
33.39, 39

Atomic structure:
Cell: 6.8026 6.8026 7.0180 Å, 102.48 102.48 59.62°
Sites, in units of the cell vectors:
Ho: 0.2138 0.2138 0.3556
Ho: 0.7862 0.7862 0.6444
Ta: 0.1381 0.1381 0.7741
Ta: 0.8619 0.8619 0.2259
Cl: 0.4779 0.4779 0.6280
Cl: 0.5221 0.5221 0.3720
O: 0.0093 0.5995 0.3575
O: 0.0247 0.0247 0.2791
O: 0.2057 0.2057 0.0407
O: 0.4005 0.9907 0.6425
O: 0.5995 0.0093 0.3575
O: 0.7943 0.7943 0.9593
O: 0.9753 0.9753 0.7209
O: 0.9907 0.4005 0.6425